This entry pairs a crystal structure of ZrS4N4Cl6 with its calculated X-ray diffraction stick pattern. Radiation: Cu Kα X-rays. Structure: the GGA-PBE geometry in the Materials Project.

```
data_ZrS4N4Cl6
_space_group_name_H-M_alt 'P 1'
_space_group_IT_number 1
_space_group_name_Hall 'P 1'
_cell_length_a 7.219
_cell_length_b 11.679
_cell_length_c 18.903
_cell_angle_alpha 102.78
_cell_angle_beta 98.62
_cell_angle_gamma 92.16
loop_
_atom_site_label
_atom_site_type_symbol
_atom_site_fract_x
_atom_site_fract_y
_atom_site_fract_z
Zr1 Zr 0.027 0.058 0.408
Zr2 Zr 0.470 0.434 0.089
Zr3 Zr 0.530 0.566 0.911
Zr4 Zr 0.973 0.942 0.592
S1 S 0.011 0.421 0.311
S2 S 0.012 0.045 0.165
S3 S 0.083 0.791 0.161
S4 S 0.162 0.661 0.397
S5 S 0.368 0.056 0.104
S6 S 0.414 0.357 0.335
S7 S 0.481 0.389 0.662
S8 S 0.496 0.873 0.185
S9 S 0.504 0.127 0.815
S10 S 0.519 0.611 0.338
S11 S 0.586 0.643 0.665
S12 S 0.632 0.944 0.896
S13 S 0.838 0.339 0.603
S14 S 0.917 0.209 0.839
S15 S 0.988 0.955 0.835
S16 S 0.989 0.579 0.689
N1 N 0.015 0.089 0.840
N2 N 0.016 0.558 0.347
N3 N 0.192 0.099 0.143
N4 N 0.193 0.356 0.319
N5 N 0.305 0.802 0.176
N6 N 0.343 0.678 0.360
N7 N 0.472 0.522 0.661
N8 N 0.496 0.013 0.848
N9 N 0.504 0.987 0.152
N10 N 0.528 0.478 0.339
N11 N 0.657 0.322 0.640
N12 N 0.695 0.198 0.824
N13 N 0.807 0.644 0.681
N14 N 0.808 0.901 0.857
N15 N 0.984 0.442 0.653
N16 N 0.985 0.911 0.160
Cl1 Cl 0.110 0.138 0.663
Cl2 Cl 0.167 0.246 0.488
Cl3 Cl 0.192 0.846 0.665
Cl4 Cl 0.216 0.951 0.502
Cl5 Cl 0.227 0.476 0.165
Cl6 Cl 0.240 0.914 0.011
Cl7 Cl 0.277 0.580 0.487
Cl8 Cl 0.281 0.046 0.336
Cl9 Cl 0.284 0.265 0.005
Cl10 Cl 0.307 0.572 0.009
Cl11 Cl 0.326 0.395 0.835
Cl12 Cl 0.349 0.695 0.847
Cl13 Cl 0.651 0.305 0.153
Cl14 Cl 0.674 0.605 0.165
Cl15 Cl 0.693 0.428 0.991
Cl16 Cl 0.716 0.735 0.995
Cl17 Cl 0.719 0.954 0.664
Cl18 Cl 0.723 0.420 0.513
Cl19 Cl 0.760 0.086 0.989
Cl20 Cl 0.773 0.524 0.835
Cl21 Cl 0.784 0.049 0.498
Cl22 Cl 0.808 0.154 0.335
Cl23 Cl 0.833 0.754 0.512
Cl24 Cl 0.890 0.862 0.337
```

Top 10 peaks for 2θ = 10–90°, in order of falling intensity:
2theta	I (rel.)
14.08	100
30.41	55
31.68	51
29.25	50
14.19	50
15.17	47
15.60	42
19.51	42
32.24	37
29.46	35

---

This entry pairs a crystal structure of SbN2Cl5 with its calculated X-ray diffraction stick pattern. Radiation: Cu Kα X-rays. Structure: the GGA-PBE geometry in the Materials Project.

```
data_SbN2Cl5
_space_group_name_H-M_alt 'P 1'
_space_group_IT_number 1
_space_group_name_Hall 'P 1'
_cell_length_a 7.496
_cell_length_b 7.496
_cell_length_c 12.081
_cell_angle_alpha 103.49
_cell_angle_beta 103.49
_cell_angle_gamma 60.88
loop_
_atom_site_label
_atom_site_type_symbol
_atom_site_fract_x
_atom_site_fract_y
_atom_site_fract_z
Sb1 Sb 0.129 0.129 0.252
Sb2 Sb 0.871 0.871 0.748
N1 N 0.203 0.203 0.623
N2 N 0.397 0.397 0.113
N3 N 0.603 0.603 0.887
N4 N 0.797 0.797 0.377
Cl1 Cl 0.068 0.637 0.883
Cl2 Cl 0.177 0.748 0.669
Cl3 Cl 0.252 0.823 0.331
Cl4 Cl 0.299 0.299 0.382
Cl5 Cl 0.363 0.932 0.117
Cl6 Cl 0.637 0.068 0.883
Cl7 Cl 0.701 0.701 0.618
Cl8 Cl 0.748 0.177 0.669
Cl9 Cl 0.823 0.252 0.331
Cl10 Cl 0.932 0.363 0.117
```

Top 10 peaks for 2θ = 10–90°, in order of falling intensity:
2theta	I (rel.)
14.68	100
14.21	100
33.44	93
16.57	91
17.89	82
15.24	75
13.66	71
19.01	40
27.51	29
48.78	29

---

This entry pairs a crystal structure of SbSe3N2Cl7 with its calculated X-ray diffraction stick pattern. Radiation: Cu Kα X-rays. Structure: the GGA-PBE geometry in the Materials Project.

```
data_SbSe3N2Cl7
_space_group_name_H-M_alt 'P 1'
_space_group_IT_number 1
_space_group_name_Hall 'P 1'
_cell_length_a 7.335
_cell_length_b 7.371
_cell_length_c 15.770
_cell_angle_alpha 89.84
_cell_angle_beta 85.72
_cell_angle_gamma 67.95
loop_
_atom_site_label
_atom_site_type_symbol
_atom_site_fract_x
_atom_site_fract_y
_atom_site_fract_z
Sb1 Sb 0.000 0.000 0.000
Sb2 Sb 0.012 0.120 0.499
Se1 Se 0.181 0.433 0.809
Se2 Se 0.358 0.519 0.638
Se3 Se 0.542 0.670 0.172
Se4 Se 0.609 0.352 0.740
Se5 Se 0.671 0.802 0.335
Se6 Se 0.902 0.499 0.194
N1 N 0.157 0.536 0.709
N2 N 0.442 0.307 0.813
N3 N 0.498 0.838 0.256
N4 N 0.886 0.619 0.290
Cl1 Cl 0.033 0.017 0.846
Cl2 Cl 0.192 0.790 0.446
Cl3 Cl 0.197 0.054 0.624
Cl4 Cl 0.233 0.155 0.011
Cl5 Cl 0.250 0.231 0.428
Cl6 Cl 0.263 0.681 0.993
Cl7 Cl 0.431 0.434 0.221
Cl8 Cl 0.652 0.626 0.788
Cl9 Cl 0.737 0.321 0.006
Cl10 Cl 0.766 0.846 0.988
Cl11 Cl 0.770 0.012 0.572
Cl12 Cl 0.819 0.193 0.377
Cl13 Cl 0.822 0.453 0.555
Cl14 Cl 0.969 0.986 0.154
```

Top 10 peaks for 2θ = 10–90°, in order of falling intensity:
2theta	I (rel.)
16.97	100
17.43	86
17.97	84
14.56	65
16.58	54
21.67	50
14.00	44
30.25	33
13.05	31
39.61	30

---

This entry pairs a crystal structure of Sc7NCl12 with its calculated X-ray diffraction stick pattern. Radiation: Cu Kα X-rays. Structure: the GGA-PBE geometry in the Materials Project.

```
data_Sc7NCl12
_space_group_name_H-M_alt 'P 1'
_space_group_IT_number 1
_space_group_name_Hall 'P 1'
_cell_length_a 8.138
_cell_length_b 8.138
_cell_length_c 8.138
_cell_angle_alpha 107.65
_cell_angle_beta 107.65
_cell_angle_gamma 107.65
loop_
_atom_site_label
_atom_site_type_symbol
_atom_site_fract_x
_atom_site_fract_y
_atom_site_fract_z
Sc1 Sc 0.000 0.000 0.000
Sc2 Sc 0.202 0.472 0.401
Sc3 Sc 0.401 0.202 0.472
Sc4 Sc 0.472 0.401 0.202
Sc5 Sc 0.528 0.599 0.798
Sc6 Sc 0.599 0.798 0.528
Sc7 Sc 0.798 0.528 0.599
N1 N 0.500 0.500 0.500
Cl1 Cl 0.041 0.119 0.345
Cl2 Cl 0.119 0.345 0.041
Cl3 Cl 0.190 0.576 0.722
Cl4 Cl 0.278 0.810 0.424
Cl5 Cl 0.345 0.041 0.119
Cl6 Cl 0.424 0.278 0.810
Cl7 Cl 0.576 0.722 0.190
Cl8 Cl 0.655 0.959 0.881
Cl9 Cl 0.722 0.190 0.576
Cl10 Cl 0.810 0.424 0.278
Cl11 Cl 0.881 0.655 0.959
Cl12 Cl 0.959 0.881 0.655
```

Top 10 peaks for 2θ = 10–90°, in order of falling intensity:
2theta	I (rel.)
34.93	100
13.48	35
50.07	29
50.41	28
12.68	13
62.50	13
30.07	12
33.32	10
84.05	9
84.58	9

---

This entry pairs a crystal structure of Sc2NCl2 with its calculated X-ray diffraction stick pattern. Radiation: Cu Kα X-rays. Structure: the GGA-PBE geometry in the Materials Project.

```
data_Sc2NCl2
_space_group_name_H-M_alt 'P 1'
_space_group_IT_number 1
_space_group_name_Hall 'P 1'
_cell_length_a 3.370
_cell_length_b 3.370
_cell_length_c 9.566
_cell_angle_alpha 90.00
_cell_angle_beta 90.00
_cell_angle_gamma 120.00
loop_
_atom_site_label
_atom_site_type_symbol
_atom_site_fract_x
_atom_site_fract_y
_atom_site_fract_z
Sc1 Sc 0.333 0.667 0.376
Sc2 Sc 0.667 0.333 0.624
N1 N 0.000 0.000 0.500
Cl1 Cl 0.333 0.667 0.801
Cl2 Cl 0.667 0.333 0.199
```

Top 10 peaks for 2θ = 10–90°, in order of falling intensity:
2theta	I (rel.)
36.05	100
41.97	36
54.46	27
30.64	24
49.26	14
57.61	13
67.06	13
18.55	13
75.14	10
47.53	7